Computed XRD peak list
Compound: NbSBr
Radiation: Cu Kα X-rays
Structure: a cell relaxed with GGA-PBE

The 10 most intense peaks (10° ≤ 2θ ≤ 80°), sorted by position:
2θ = 14.77°, intensity 77, hkl 1 1 1
2θ = 28.49°, intensity 42, hkl 3 1 1
2θ = 34.53°, intensity 100, hkl 4 0 0
2θ = 37.74°, intensity 37, hkl 3 3 1
2θ = 42.63°, intensity 22, hkl 4 2 2
2θ = 45.36°, intensity 28, hkl 3 3 3
2θ = 49.64°, intensity 58, hkl 4 4 0
2θ = 61.87°, intensity 17, hkl 4 4 4
2θ = 64.00°, intensity 14, hkl 5 5 1
2θ = 69.49°, intensity 15, hkl 7 3 1

Atomic structure:
Unit cell a=10.3898 b=10.3898 c=10.3898 alpha=90.00 beta=90.00 gamma=90.00
Space group F-43m (No. 216)
Symmetry-distinct sites (fractional):
Nb  0.1010  0.1010  0.3990 (multiplicity 16)
S  0.1289  0.1289  0.6289 (multiplicity 16)
Br  0.1287  0.1287  0.1287 (multiplicity 16)